No. 1
# Gd3Dy
Computed PXRD pattern, copper Kα. Input: a cell relaxed with GGA-PBE.
Lines closer than 0.1° are merged.

a = 4.946 Å, b = 4.946 Å, c = 4.946 Å
α = 90.00°, β = 90.00°, γ = 90.00°
Space group Pm-3m (No. 221)
Symmetry-distinct sites (fractional):
1 Gd 0.000 0.000 0.500 (multiplicity 3)
2 Dy 0.500 0.500 0.500 (multiplicity 1)

Top 6 peaks for 10° ≤ 2θ ≤ 90°, in order of rising 2θ:
hkl 1 1 1, 2.855 Å, 31.3 deg, intensity 100.0
hkl 2 0 0, 2.473 Å, 36.3 deg, intensity 50.5
hkl 2 2 0, 1.749 Å, 52.3 deg, intensity 35.7
hkl 3 1 1, 1.491 Å, 62.3 deg, intensity 42.3
hkl 3 3 1, 1.135 Å, 85.6 deg, intensity 17.8
hkl 4 2 0, 1.106 Å, 88.4 deg, intensity 16.7

No. 2
# Li5SbS4
Computed PXRD pattern, copper Kα. Input: a cell relaxed with GGA-PBE.
Lines closer than 0.1° are merged.

a = 3.915 Å, b = 7.143 Å, c = 13.477 Å
α = 90.00°, β = 90.00°, γ = 90.00°
Space group Immm (No. 71)
Symmetry-distinct sites (fractional):
1 Li 0.000 0.000 0.000 (multiplicity 2)
2 Li 0.000 0.217 0.324 (multiplicity 8)
3 Sb 0.000 0.500 0.000 (multiplicity 2)
4 S 0.000 0.270 0.500 (multiplicity 4)
5 S 0.000 0.500 0.210 (multiplicity 4)

Top 6 peaks for 10° ≤ 2θ ≤ 90°, in order of rising 2θ:
hkl 0 0 2, 6.739 Å, 13.1 deg, intensity 53.7
hkl 0 1 1, 6.312 Å, 14.0 deg, intensity 100.0
hkl 1 1 0, 3.433 Å, 26.0 deg, intensity 53.4
hkl 0 0 4, 3.369 Å, 26.5 deg, intensity 36.5
hkl 1 2 1, 2.590 Å, 34.6 deg, intensity 64.1
hkl 1 2 5, 1.886 Å, 48.3 deg, intensity 36.3

No. 3
# CaMgP2Se6
Computed PXRD pattern, copper Kα. Input: a cell relaxed with GGA-PBE.
Lines closer than 0.1° are merged.

a = 6.6380 Å, b = 6.6380 Å, c = 21.7251 Å
α = 90.00°, β = 90.00°, γ = 120.00°
Space group R3 (No. 146, hexagonal axes)
Symmetry-distinct sites (fractional):
1 Ca 0.0000 0.0000 0.0000 (multiplicity 3)
2 Mg 0.0000 0.0000 0.3367 (multiplicity 3)
3 P 0.0000 0.0000 0.6160 (multiplicity 3)
4 P 0.0000 0.0000 0.7204 (multiplicity 3)
5 Se 0.0032 0.6340 0.9198 (multiplicity 9)
6 Se 0.0272 0.3355 0.4173 (multiplicity 9)

Top 6 peaks for 10° ≤ 2θ ≤ 90°, in order of rising 2θ:
hkl 0 0 6, 3.621 Å, 24.6 deg, intensity 30.1
hkl 2 -1 3, 3.017 Å, 29.6 deg, intensity 100.0
hkl 2 -1 6, 2.447 Å, 36.7 deg, intensity 25.1
hkl 1 1 9, 1.952 Å, 46.5 deg, intensity 26.4
hkl 3 0 0, 1.916 Å, 47.4 deg, intensity 24.0
hkl 3 0 6, 1.694 Å, 54.2 deg, intensity 15.5

No. 4
# Rb2Ga2Ge3O10
Computed PXRD pattern, copper Kα. Input: a cell relaxed with GGA-PBE.
Lines closer than 0.1° are merged.

a = 17.849 Å, b = 6.842 Å, c = 12.892 Å
α = 90.00°, β = 132.60°, γ = 90.00°
Space group C2 (No. 5)
Symmetry-distinct sites (fractional):
1 Rb 0.139 0.000 0.377 (multiplicity 4)
2 Rb 0.226 0.778 0.835 (multiplicity 4)
3 Ga 0.061 0.497 0.193 (multiplicity 4)
4 Ga 0.133 0.303 0.740 (multiplicity 4)
5 Ge 0.000 0.116 0.500 (multiplicity 2)
6 Ge 0.000 0.125 0.000 (multiplicity 2)
7 Ge 0.078 0.523 0.447 (multiplicity 4)
8 Ge 0.129 0.750 0.062 (multiplicity 4)
9 O 0.005 0.259 0.889 (multiplicity 4)
10 O 0.023 0.715 0.882 (multiplicity 4)
11 O 0.055 0.505 0.710 (multiplicity 4)
12 O 0.061 0.057 0.673 (multiplicity 4)
13 O 0.102 0.298 0.559 (multiplicity 4)
14 O 0.114 0.982 0.113 (multiplicity 4)
15 O 0.129 0.725 0.550 (multiplicity 4)
16 O 0.139 0.457 0.384 (multiplicity 4)
17 O 0.153 0.557 0.172 (multiplicity 4)
18 O 0.240 0.783 0.089 (multiplicity 4)

Top 6 peaks for 10° ≤ 2θ ≤ 90°, in order of rising 2θ:
hkl 1 1 -1, 6.053 Å, 14.6 deg, intensity 52.8
hkl 2 0 -3, 4.153 Å, 21.4 deg, intensity 70.4
hkl 0 2 1, 3.218 Å, 27.7 deg, intensity 83.8
hkl 2 2 -1, 3.194 Å, 27.9 deg, intensity 62.2
hkl 5 1 -2, 3.131 Å, 28.5 deg, intensity 100.0
hkl 3 1 -4, 2.876 Å, 31.1 deg, intensity 63.6

No. 5
# BaEuTiBiO6
Computed PXRD pattern, copper Kα. Input: a cell relaxed with GGA-PBE.
Lines closer than 0.1° are merged.

a = 8.417 Å, b = 8.435 Å, c = 8.448 Å
α = 90.00°, β = 90.00°, γ = 90.00°
Space group P222 (No. 16)
Symmetry-distinct sites (fractional):
1 Ba 0.000 0.000 0.000 (multiplicity 1)
2 Ba 0.000 0.500 0.000 (multiplicity 1)
3 Ba 0.500 0.000 0.000 (multiplicity 1)
4 Ba 0.500 0.500 0.500 (multiplicity 1)
5 Eu 0.000 0.000 0.500 (multiplicity 1)
6 Eu 0.000 0.500 0.500 (multiplicity 1)
7 Eu 0.500 0.000 0.500 (multiplicity 1)
8 Eu 0.500 0.500 0.000 (multiplicity 1)
9 Ti 0.250 0.252 0.746 (multiplicity 4)
10 Bi 0.251 0.250 0.254 (multiplicity 4)
11 O 0.016 0.279 0.765 (multiplicity 4)
12 O 0.211 0.292 0.514 (multiplicity 4)
13 O 0.216 0.017 0.708 (multiplicity 4)
14 O 0.274 0.228 0.978 (multiplicity 4)
15 O 0.295 0.482 0.782 (multiplicity 4)
16 O 0.480 0.210 0.706 (multiplicity 4)

Top 6 peaks for 10° ≤ 2θ ≤ 90°, in order of rising 2θ:
hkl 1 1 1, 4.869 Å, 18.2 deg, intensity 17.5
hkl 2 2 0, 2.982 Å, 30.0 deg, intensity 100.0
hkl 3 1 1, 2.543 Å, 35.3 deg, intensity 13.7
hkl 0 4 0, 2.110 Å, 42.9 deg, intensity 18.1
hkl 2 2 4, 1.722 Å, 53.2 deg, intensity 28.9
hkl 4 2 2, 1.720 Å, 53.3 deg, intensity 14.5

No. 6
# Na4YTiSi2PO12
Computed PXRD pattern, copper Kα. Input: a cell relaxed with GGA-PBE.
Lines closer than 0.1° are merged.

a = 15.993 Å, b = 9.280 Å, c = 9.159 Å
α = 90.00°, β = 124.59°, γ = 90.00°
Space group Cc (No. 9)
Symmetry-distinct sites (fractional):
1 Na 0.000 0.060 0.000 (multiplicity 4)
2 Na 0.071 0.243 0.385 (multiplicity 4)
3 Na 0.138 0.428 0.768 (multiplicity 4)
4 Na 0.314 0.121 0.635 (multiplicity 4)
5 Y 0.417 0.253 0.034 (multiplicity 4)
6 Ti 0.218 0.250 0.233 (multiplicity 4)
7 Si 0.173 0.094 0.840 (multiplicity 4)
8 Si 0.314 0.452 0.623 (multiplicity 4)
9 P 0.468 0.111 0.437 (multiplicity 4)
10 O 0.056 0.307 0.104 (multiplicity 4)
11 O 0.076 0.165 0.660 (multiplicity 4)
12 O 0.173 0.085 0.329 (multiplicity 4)
13 O 0.180 0.139 0.028 (multiplicity 4)
14 O 0.229 0.360 0.441 (multiplicity 4)
15 O 0.248 0.428 0.162 (multiplicity 4)
16 O 0.270 0.161 0.855 (multiplicity 4)
17 O 0.365 0.178 0.392 (multiplicity 4)
18 O 0.387 0.341 0.784 (multiplicity 4)
19 O 0.393 0.458 0.104 (multiplicity 4)
20 O 0.475 0.127 0.278 (multiplicity 4)
21 O 0.478 0.052 0.975 (multiplicity 4)

Top 6 peaks for 10° ≤ 2θ ≤ 90°, in order of rising 2θ:
hkl 3 1 -1, 4.632 Å, 19.2 deg, intensity 100.0
hkl 2 2 1, 3.011 Å, 29.7 deg, intensity 30.4
hkl 5 1 -1, 2.933 Å, 30.5 deg, intensity 60.8
hkl 4 2 -2, 2.916 Å, 30.7 deg, intensity 51.8
hkl 3 1 -3, 2.900 Å, 30.8 deg, intensity 54.0
hkl 2 0 2, 2.680 Å, 33.4 deg, intensity 94.0

> Which formula does entry 2 have?

Li5SbS4